This entry pairs a crystal structure of Tm6NiRu with its theoretical XRD peak list. Radiation: CuKα. Structure: the GGA-PBE geometry in Alexandria.
No peak broadening, texture or thermal motion is included.

Largest 6 diffraction maxima, low angle first, 10 to 90 degrees two-theta:
28.9°, rel. 80, hkl 2 0 0; 30.0°, rel. 72, hkl 1 3 -1; 33.6°, rel. 53, hkl 2 0 -2; 34.3°, rel. 100, hkl 1 3 1; 48.8°, rel. 74, hkl 1 3 -3; 57.5°, rel. 23, hkl 1 3 3

Crystal structure
a b c (Å): 6.5438 10.7878 6.5411
angles (deg): 90.00 109.02 90.00
Atoms (fractional coordinates):
Tm1 0.2450 0.1732 0.2507
Tm2 0.2450 0.8268 0.2507
Tm3 0.2503 0.0000 0.7543
Tm4 0.2497 0.5000 0.2457
Tm5 0.2550 0.3268 0.7493
Tm6 0.2550 0.6732 0.7493
Tm7 0.7450 0.3268 0.2507
Tm8 0.7450 0.6732 0.2507
Tm9 0.7497 0.0000 0.2457
Tm10 0.7503 0.5000 0.7543
Tm11 0.7550 0.1732 0.7493
Tm12 0.7550 0.8268 0.7493
Ni1 0.0000 0.0000 0.0000
Ni2 0.5000 0.5000 0.0000
Ru1 0.0000 0.5000 0.5000
Ru2 0.5000 0.0000 0.5000

=====

This entry pairs a crystal structure of Ag4Br5F2 with its theoretical XRD peak list. Radiation: CuKα. Structure: the GGA-PBE geometry in Alexandria.
No peak broadening, texture or thermal motion is included.

Largest 6 diffraction maxima, low angle first, 10 to 90 degrees two-theta:
16.7°, rel. 30, hkl 0 1 -1; 22.9°, rel. 100, hkl 0 0 3; 31.3°, rel. 53, hkl -1 1 1; 32.2°, rel. 52, hkl 1 2 1; 35.6°, rel. 33, hkl 1 -1 2; 42.1°, rel. 26, hkl 1 2 4

Crystal structure
a b c (Å): 3.7931 6.6967 11.7888
angles (deg): 81.61 88.21 75.52
Atoms (fractional coordinates):
Ag1 0.1323 0.2370 0.4430
Ag2 0.2732 0.9213 0.8226
Ag3 0.7268 0.0787 0.1774
Ag4 0.8677 0.7630 0.5570
Br1 0.1091 0.3597 0.1719
Br2 0.3419 0.8096 0.1586
Br3 0.5000 0.5000 0.5000
Br4 0.6581 0.1904 0.8414
Br5 0.8909 0.6403 0.8281
F1 0.2785 0.9375 0.6037
F2 0.7215 0.0625 0.3963

=====

Copy entry 1 word for word.
This entry pairs a crystal structure of Tm6NiRu with its theoretical XRD peak list. Radiation: CuKα. Structure: the GGA-PBE geometry in Alexandria.
No peak broadening, texture or thermal motion is included.

Largest 6 diffraction maxima, low angle first, 10 to 90 degrees two-theta:
28.9°, rel. 80, hkl 2 0 0; 30.0°, rel. 72, hkl 1 3 -1; 33.6°, rel. 53, hkl 2 0 -2; 34.3°, rel. 100, hkl 1 3 1; 48.8°, rel. 74, hkl 1 3 -3; 57.5°, rel. 23, hkl 1 3 3

Crystal structure
a b c (Å): 6.5438 10.7878 6.5411
angles (deg): 90.00 109.02 90.00
Atoms (fractional coordinates):
Tm1 0.2450 0.1732 0.2507
Tm2 0.2450 0.8268 0.2507
Tm3 0.2503 0.0000 0.7543
Tm4 0.2497 0.5000 0.2457
Tm5 0.2550 0.3268 0.7493
Tm6 0.2550 0.6732 0.7493
Tm7 0.7450 0.3268 0.2507
Tm8 0.7450 0.6732 0.2507
Tm9 0.7497 0.0000 0.2457
Tm10 0.7503 0.5000 0.7543
Tm11 0.7550 0.1732 0.7493
Tm12 0.7550 0.8268 0.7493
Ni1 0.0000 0.0000 0.0000
Ni2 0.5000 0.5000 0.0000
Ru1 0.0000 0.5000 0.5000
Ru2 0.5000 0.0000 0.5000